Computed PXRD pattern
Compound: Ho2Tm3Se4
Radiation: Cu Ka
Structure: the GGA-PBE geometry in Alexandria
Neutral-atom scattering factors, no anomalous dispersion.

Principal peaks in the range 2θ = 15–90°, in order of falling intensity:
two_theta  I_rel
30.87  100.0
46.24  36.0
42.12  29.4
56.63  17.9
76.01  15.1
28.36  14.9
74.94  9.5
46.71  9.2
82.81  8.4
64.31  8.4
54.28  8.1
26.87  8.0

Atomic structure:
Cell lengths 3.927, 3.927, 16.591 Å; angles 90.02, 90.02, 60.01 degrees
Sites, in units of the cell vectors:
1 Ho 0.167 0.167 0.208
2 Ho 0.833 0.833 0.792
3 Tm 0.166 0.166 0.581
4 Tm 0.500 0.500 0.000
5 Tm 0.834 0.834 0.419
6 Se 0.166 0.166 0.898
7 Se 0.499 0.499 0.688
8 Se 0.501 0.501 0.312
9 Se 0.834 0.834 0.102